(1)
The following is a simulated PXRD pattern of BaYF5. It was derived from a DFT-relaxed cell (PBE, Alexandria), using CuKα.

Principal peaks in the range 2θ = 10–90°, most intense first:
| 2θ (°) | I/Imax |
| --- | --- |
| 25.48 | 100 |
| 23.44 | 74 |
| 24.57 | 57 |
| 42.60 | 50 |
| 26.89 | 45 |
| 26.67 | 40 |

a = 7.7231 Å, b = 8.4514 Å, c = 11.3112 Å
α = 79.21°, β = 87.46°, γ = 79.45°
Atoms (fractional coordinates):
Ba: 0.1267 0.4474 0.2304
Ba: 0.2101 0.1347 0.5591
Ba: 0.2802 0.7444 0.8991
Ba: 0.7198 0.2556 0.1009
Ba: 0.7899 0.8653 0.4409
Ba: 0.8733 0.5526 0.7696
Y: 0.2695 0.9617 0.2292
Y: 0.2771 0.2363 0.9310
Y: 0.3064 0.6751 0.5014
Y: 0.6936 0.3249 0.4986
Y: 0.7229 0.7637 0.0690
Y: 0.7305 0.0383 0.7708
F: 0.0066 0.6710 0.0405
F: 0.0333 0.1582 0.2056
F: 0.0424 0.6281 0.5572
F: 0.1314 0.9245 0.4290
F: 0.1860 0.9966 0.0330
F: 0.1906 0.7063 0.3080
F: 0.2216 0.4713 0.7951
F: 0.2231 0.1076 0.7891
F: 0.3129 0.8053 0.6481
F: 0.3180 0.1605 0.3271
F: 0.3333 0.4260 0.0380
F: 0.3891 0.4244 0.4567
F: 0.4429 0.1050 0.1024
F: 0.4470 0.7657 0.1368
F: 0.4675 0.8322 0.3784
F: 0.5325 0.1678 0.6216
F: 0.5530 0.2343 0.8632
F: 0.5571 0.8950 0.8976
F: 0.6109 0.5756 0.5433
F: 0.6667 0.5740 0.9620
F: 0.6820 0.8395 0.6729
F: 0.6871 0.1947 0.3519
F: 0.7769 0.8924 0.2109
F: 0.7784 0.5287 0.2049
F: 0.8094 0.2937 0.6920
F: 0.8140 0.0034 0.9670
F: 0.8686 0.0755 0.5710
F: 0.9576 0.3719 0.4428
F: 0.9667 0.8418 0.7944
F: 0.9934 0.3290 0.9595

***

(2)
The following is a simulated PXRD pattern of PuNi6Ge4. It was derived from a DFT-relaxed cell (PBE, Alexandria), using CuKα.

Principal peaks in the range 2θ = 10–90°, most intense first:
| 2θ (°) | I/Imax |
| --- | --- |
| 38.60 | 100 |
| 35.39 | 58 |
| 40.15 | 47 |
| 53.41 | 27 |
| 52.18 | 26 |
| 48.33 | 26 |

a = 6.8614 Å, b = 6.8614 Å, c = 3.7662 Å
α = 90.00°, β = 90.00°, γ = 120.00°
Atoms (fractional coordinates):
Pu: 0.0000 0.0000 0.0000
Ni: 0.2061 0.4122 0.5000
Ni: 0.2061 0.7939 0.5000
Ni: 0.5367 0.0734 0.0000
Ni: 0.5367 0.4633 0.0000
Ni: 0.5878 0.7939 0.5000
Ni: 0.9266 0.4633 0.0000
Ge: 0.3333 0.6667 0.0000
Ge: 0.3833 0.1916 0.5000
Ge: 0.8084 0.1916 0.5000
Ge: 0.8084 0.6167 0.5000

***

(3)
The following is a simulated PXRD pattern of Th3Sb4Rh3. It was derived from a DFT-relaxed cell (PBE, Alexandria), using CuKα.

Principal peaks in the range 2θ = 10–90°, most intense first:
| 2θ (°) | I/Imax |
| --- | --- |
| 34.09 | 100 |
| 41.02 | 48 |
| 28.69 | 39 |
| 57.75 | 18 |
| 70.29 | 15 |
| 45.14 | 14 |

a = 8.5226 Å, b = 8.5226 Å, c = 8.5226 Å
α = 109.47°, β = 109.47°, γ = 109.47°
Atoms (fractional coordinates):
Th: 0.1250 0.8750 0.2500
Th: 0.2500 0.1250 0.8750
Th: 0.3750 0.6250 0.7500
Th: 0.6250 0.7500 0.3750
Th: 0.7500 0.3750 0.6250
Th: 0.8750 0.2500 0.1250
Sb: 0.0000 0.1694 0.5000
Sb: 0.0000 0.6694 0.5000
Sb: 0.1694 0.5000 0.0000
Sb: 0.3306 0.3306 0.3306
Sb: 0.5000 0.0000 0.1694
Sb: 0.5000 0.0000 0.6694
Sb: 0.6694 0.5000 0.0000
Sb: 0.8306 0.8306 0.8306
Rh: 0.1250 0.7500 0.8750
Rh: 0.2500 0.6250 0.3750
Rh: 0.3750 0.2500 0.6250
Rh: 0.6250 0.3750 0.2500
Rh: 0.7500 0.8750 0.1250
Rh: 0.8750 0.1250 0.7500

***

Copy entry 3 word for word.
The following is a simulated PXRD pattern of Th3Sb4Rh3. It was derived from a DFT-relaxed cell (PBE, Alexandria), using CuKα.

Principal peaks in the range 2θ = 10–90°, most intense first:
| 2θ (°) | I/Imax |
| --- | --- |
| 34.09 | 100 |
| 41.02 | 48 |
| 28.69 | 39 |
| 57.75 | 18 |
| 70.29 | 15 |
| 45.14 | 14 |

a = 8.5226 Å, b = 8.5226 Å, c = 8.5226 Å
α = 109.47°, β = 109.47°, γ = 109.47°
Atoms (fractional coordinates):
Th: 0.1250 0.8750 0.2500
Th: 0.2500 0.1250 0.8750
Th: 0.3750 0.6250 0.7500
Th: 0.6250 0.7500 0.3750
Th: 0.7500 0.3750 0.6250
Th: 0.8750 0.2500 0.1250
Sb: 0.0000 0.1694 0.5000
Sb: 0.0000 0.6694 0.5000
Sb: 0.1694 0.5000 0.0000
Sb: 0.3306 0.3306 0.3306
Sb: 0.5000 0.0000 0.1694
Sb: 0.5000 0.0000 0.6694
Sb: 0.6694 0.5000 0.0000
Sb: 0.8306 0.8306 0.8306
Rh: 0.1250 0.7500 0.8750
Rh: 0.2500 0.6250 0.3750
Rh: 0.3750 0.2500 0.6250
Rh: 0.6250 0.3750 0.2500
Rh: 0.7500 0.8750 0.1250
Rh: 0.8750 0.1250 0.7500